Record 1
Na3GaAu8: computed powder XRD pattern (Cu Kα), based on a structure optimized by DFT (PBE).

Structural model:
```
data_Na3GaAu8
_chemical_formula_sum 'Na9 Ga3 Au24'
_space_group_name_H-M_alt 'R 3 m'
_space_group_IT_number 160
_space_group_name_Hall 'R 3 -2"'
_cell_length_a 5.5898
_cell_length_b 5.5898
_cell_length_c 27.6750
_cell_angle_alpha 90.00
_cell_angle_beta 90.00
_cell_angle_gamma 120.00
loop_
_atom_site_label
_atom_site_fract_x
_atom_site_fract_y
_atom_site_fract_z
Na1 0.0000 0.0000 0.0000
Na2 0.0000 0.0000 0.1256
Na3 0.0000 0.0000 0.6264
Ga1 0.0000 0.0000 0.5085
Au1 0.0000 0.0000 0.3118
Au2 0.0000 0.0000 0.8113
Au3 0.9999 0.5000 0.5617
Au4 0.0006 0.5003 0.0619
```

Most intense lines, 15° ≤ 2θ ≤ 90°, in order of falling intensity:
- 2θ 19.43, rel. 100.0, (0 1 2)
- 2θ 37.66, rel. 99.5, (2 0 2)
- 2θ 39.44, rel. 95.6, (0 2 4)
- 2θ 45.75, rel. 51.7, (2 0 8)
- 2θ 19.24, rel. 36.7, (0 0 6)
- 2θ 37.43, rel. 35.8, (1 0 10)
- 2θ 39.06, rel. 30.4, (0 0 12)
- 2θ 66.96, rel. 23.7, (2 2 0)
- 2θ 80.34, rel. 23.6, (2 2 12)
- 2θ 66.43, rel. 23.5, (0 2 16)

Record 2
Pr5Cu5Ru2: computed powder XRD pattern (Cu Kα), based on a structure optimized by DFT (PBE).

Structural model:
```
data_Pr5Cu5Ru2
_chemical_formula_sum 'Pr10 Cu10 Ru4'
_space_group_name_H-M_alt 'C 1 2/m 1'
_space_group_IT_number 12
_space_group_name_Hall '-C 2y'
_cell_length_a 14.983
_cell_length_b 4.223
_cell_length_c 11.347
_cell_angle_alpha 90.00
_cell_angle_beta 130.99
_cell_angle_gamma 90.00
loop_
_atom_site_label
_atom_site_fract_x
_atom_site_fract_y
_atom_site_fract_z
Pr1 0.000 0.000 0.000
Pr2 0.124 0.500 0.827
Pr3 0.195 0.500 0.581
Cu1 0.000 0.000 0.500
Cu2 0.060 0.000 0.333
Cu3 0.217 0.500 0.157
Ru1 0.106 0.500 0.256
```

Most intense lines, 15° ≤ 2θ ≤ 90°, in order of falling intensity:
- 2θ 34.24, rel. 100.0, (1 1 -3)
- 2θ 31.82, rel. 99.8, (3 1 0)
- 2θ 40.21, rel. 62.8, (5 1 -4)
- 2θ 42.83, rel. 45.0, (0 2 0)
- 2θ 33.66, rel. 44.4, (2 0 -4)
- 2θ 37.46, rel. 38.9, (6 0 -2)
- 2θ 28.18, rel. 26.7, (3 1 -2)
- 2θ 55.54, rel. 21.6, (2 2 -4)
- 2θ 58.19, rel. 21.2, (6 2 -2)
- 2θ 37.14, rel. 21.2, (5 1 -2)

Record 3
InHg6I2: computed powder XRD pattern (Cu Kα), based on a structure optimized by DFT (PBE).

Structural model:
```
data_InHg6I2
_chemical_formula_sum 'In1 Hg6 I2'
_space_group_name_H-M_alt 'P -1'
_space_group_IT_number 2
_space_group_name_Hall '-P 1'
_cell_length_a 4.490
_cell_length_b 8.139
_cell_length_c 9.207
_cell_angle_alpha 99.91
_cell_angle_beta 101.76
_cell_angle_gamma 104.55
loop_
_atom_site_label
_atom_site_fract_x
_atom_site_fract_y
_atom_site_fract_z
In1 0.000 0.000 0.000
Hg1 0.101 0.468 0.713
Hg2 0.212 0.881 0.534
Hg3 0.285 0.271 0.292
I1 0.441 0.765 0.122
```

Most intense lines, 15° ≤ 2θ ≤ 90°, in order of falling intensity:
- 2θ 25.70, rel. 100.0, (0 1 2)
- 2θ 28.38, rel. 97.5, (1 -2 1)
- 2θ 28.53, rel. 88.7, (1 1 -2)
- 2θ 40.23, rel. 44.6, (-2 1 1)
- 2θ 36.15, rel. 43.6, (1 2 0)
- 2θ 37.62, rel. 38.3, (-1 3 1)
- 2θ 47.09, rel. 32.1, (2 0 1)
- 2θ 34.33, rel. 25.8, (1 2 -1)
- 2θ 39.67, rel. 24.3, (1 -1 3)
- 2θ 41.25, rel. 22.9, (1 0 -4)

Record 4
CeSm2In4: computed powder XRD pattern (Cu Kα), based on a structure optimized by DFT (PBE).

Structural model:
```
data_CeSm2In4
_chemical_formula_sum 'Ce2 Sm4 In8'
_space_group_name_H-M_alt 'I 4/m m m'
_space_group_IT_number 139
_space_group_name_Hall '-I 4 2'
_cell_length_a 5.432
_cell_length_b 5.432
_cell_length_c 14.468
_cell_angle_alpha 90.00
_cell_angle_beta 90.00
_cell_angle_gamma 90.00
loop_
_atom_site_label
_atom_site_fract_x
_atom_site_fract_y
_atom_site_fract_z
Ce1 0.000 0.000 0.000
Sm1 0.000 0.000 0.256
In1 0.000 0.500 0.116
```

Most intense lines, 15° ≤ 2θ ≤ 90°, in order of falling intensity:
- 2θ 34.05, rel. 100.0, (1 1 4)
- 2θ 32.98, rel. 56.3, (2 0 0)
- 2θ 59.59, rel. 38.9, (3 1 4)
- 2θ 47.34, rel. 20.2, (2 2 0)
- 2θ 61.61, rel. 15.9, (2 0 8)
- 2θ 26.27, rel. 10.9, (1 1 2)
- 2θ 17.44, rel. 10.8, (1 0 1)
- 2θ 71.68, rel. 10.1, (2 2 8)
- 2θ 78.80, rel. 8.9, (4 2 0)
- 2θ 24.69, rel. 8.6, (1 0 3)

Record 5
K2ErMnTe4: computed powder XRD pattern (Cu Kα), based on a structure optimized by DFT (PBE).

Structural model:
```
data_K2ErMnTe4
_chemical_formula_sum 'K8 Er4 Mn4 Te16'
_space_group_name_H-M_alt 'I m m a'
_space_group_IT_number 74
_space_group_name_Hall '-I 2b 2'
_cell_length_a 8.928
_cell_length_b 9.089
_cell_length_c 13.197
_cell_angle_alpha 90.00
_cell_angle_beta 90.00
_cell_angle_gamma 90.00
loop_
_atom_site_label
_atom_site_fract_x
_atom_site_fract_y
_atom_site_fract_z
K1 0.000 0.000 0.000
K2 0.250 0.250 0.250
Er1 0.000 0.000 0.500
Mn1 0.250 0.250 0.750
Te1 0.000 0.056 0.738
Te2 0.227 0.250 0.510
```

Most intense lines, 15° ≤ 2θ ≤ 90°, in order of falling intensity:
- 2θ 28.02, rel. 100.0, (2 2 0)
- 2θ 39.32, rel. 76.0, (2 2 4)
- 2θ 27.03, rel. 62.9, (0 0 4)
- 2θ 49.29, rel. 21.0, (4 0 4)
- 2θ 40.41, rel. 19.8, (4 0 0)
- 2θ 63.51, rel. 15.7, (2 2 8)
- 2θ 48.66, rel. 13.4, (0 4 4)
- 2θ 39.67, rel. 12.6, (0 4 0)
- 2θ 65.04, rel. 12.1, (4 4 4)
- 2θ 36.48, rel. 11.3, (2 3 1)

Record 6
Sr6Ca5Mg: computed powder XRD pattern (Cu Kα), based on a structure optimized by DFT (PBE).

Structural model:
```
data_Sr6Ca5Mg
_chemical_formula_sum 'Sr6 Ca5 Mg1'
_space_group_name_H-M_alt 'P -1'
_space_group_IT_number 2
_space_group_name_Hall '-P 1'
_cell_length_a 6.812
_cell_length_b 8.256
_cell_length_c 10.704
_cell_angle_alpha 112.61
_cell_angle_beta 93.75
_cell_angle_gamma 90.05
loop_
_atom_site_label
_atom_site_fract_x
_atom_site_fract_y
_atom_site_fract_z
Sr1 0.000 0.243 0.000
Sr2 0.346 0.084 0.678
Sr3 0.346 0.593 0.677
Ca1 0.157 0.669 0.337
Ca2 0.164 0.170 0.339
Ca3 0.500 0.500 0.000
Mg1 0.500 0.000 0.000
```

Most intense lines, 15° ≤ 2θ ≤ 90°, in order of falling intensity:
- 2θ 27.15, rel. 100.0, (2 0 -1)
- 2θ 30.62, rel. 36.7, (1 2 -3)
- 2θ 45.69, rel. 22.4, (3 2 -1)
- 2θ 52.31, rel. 15.3, (-3 2 2)
- 2θ 52.37, rel. 15.0, (3 2 -4)
- 2θ 33.07, rel. 14.4, (2 0 2)
- 2θ 43.85, rel. 13.1, (2 0 -4)
- 2θ 21.52, rel. 12.1, (1 0 -2)
- 2θ 56.00, rel. 11.9, (4 0 -2)
- 2θ 55.55, rel. 11.7, (4 0 1)

Record 7
RbSc: computed powder XRD pattern (Cu Kα), based on a structure optimized by DFT (PBE).

Structural model:
```
data_RbSc
_chemical_formula_sum 'Rb6 Sc6'
_space_group_name_H-M_alt 'I m m 2'
_space_group_IT_number 44
_space_group_name_Hall 'I 2 -2'
_cell_length_a 3.552
_cell_length_b 17.401
_cell_length_c 9.686
_cell_angle_alpha 90.00
_cell_angle_beta 90.00
_cell_angle_gamma 90.00
loop_
_atom_site_label
_atom_site_fract_x
_atom_site_fract_y
_atom_site_fract_z
Rb1 0.000 0.000 0.000
Rb2 0.000 0.285 0.187
Sc1 0.000 0.000 0.573
Sc2 0.000 0.416 0.860
```

Most intense lines, 15° ≤ 2θ ≤ 90°, in order of falling intensity:
- 2θ 20.99, rel. 100.0, (0 2 2)
- 2θ 28.67, rel. 60.1, (1 2 1)
- 2θ 27.23, rel. 43.7, (0 5 1)
- 2θ 31.67, rel. 40.3, (1 1 2)
- 2θ 29.49, rel. 39.3, (1 3 0)
- 2θ 40.80, rel. 36.9, (1 5 2)
- 2θ 20.41, rel. 33.9, (0 4 0)
- 2θ 44.49, rel. 31.4, (1 7 0)
- 2θ 17.82, rel. 31.2, (0 3 1)
- 2θ 26.73, rel. 30.5, (1 0 1)

Record 8
TcRh2O6: computed powder XRD pattern (Cu Kα), based on a structure optimized by DFT (PBE).

Structural model:
```
data_TcRh2O6
_chemical_formula_sum 'Tc3 Rh6 O18'
_space_group_name_H-M_alt 'P 3 2 1'
_space_group_IT_number 150
_space_group_name_Hall 'P 3 2"'
_cell_length_a 8.6857
_cell_length_b 8.6857
_cell_length_c 4.4804
_cell_angle_alpha 90.00
_cell_angle_beta 90.00
_cell_angle_gamma 120.00
loop_
_atom_site_label
_atom_site_fract_x
_atom_site_fract_y
_atom_site_fract_z
Tc1 0.0000 0.0000 0.0000
Tc2 0.3333 0.6667 0.5053
Rh1 0.0000 0.3181 0.5000
Rh2 0.0000 0.6505 0.0000
O1 0.0982 0.8828 0.7605
O2 0.1193 0.5444 0.7513
O3 0.2200 0.7681 0.2619
```

Most intense lines, 15° ≤ 2θ ≤ 90°, in order of falling intensity:
- 2θ 28.63, rel. 100.0, (1 1 1)
- 2θ 54.96, rel. 54.9, (3 0 2)
- 2θ 35.81, rel. 53.0, (3 0 0)
- 2θ 46.47, rel. 24.4, (2 2 1)
- 2θ 60.02, rel. 21.2, (1 4 1)
- 2θ 31.05, rel. 20.0, (0 2 1)
- 2θ 64.36, rel. 18.9, (3 3 0)
- 2θ 23.11, rel. 16.6, (1 0 1)
- 2θ 37.46, rel. 14.3, (2 1 1)
- 2θ 89.61, rel. 11.7, (6 0 2)

Record 9
Rb2ScGaS4: computed powder XRD pattern (Cu Kα), based on a structure optimized by DFT (PBE).

Structural model:
```
data_Rb2ScGaS4
_chemical_formula_sum 'Rb8 Sc4 Ga4 S16'
_space_group_name_H-M_alt 'C 1 2/c 1'
_space_group_IT_number 15
_space_group_name_Hall '-C 2yc'
_cell_length_a 11.483
_cell_length_b 11.655
_cell_length_c 8.112
_cell_angle_alpha 90.00
_cell_angle_beta 134.79
_cell_angle_gamma 90.00
loop_
_atom_site_label
_atom_site_fract_x
_atom_site_fract_y
_atom_site_fract_z
Rb1 0.000 0.000 0.000
Rb2 0.250 0.250 0.000
Sc1 0.250 0.250 0.500
Ga1 0.000 0.500 0.000
S1 0.000 0.271 0.042
S2 0.201 0.480 0.453
```

Most intense lines, 15° ≤ 2θ ≤ 90°, in order of falling intensity:
- 2θ 31.11, rel. 100.0, (0 0 2)
- 2θ 44.26, rel. 66.3, (0 4 2)
- 2θ 30.69, rel. 52.8, (0 4 0)
- 2θ 26.74, rel. 52.0, (2 2 0)
- 2θ 44.69, rel. 16.3, (4 0 -4)
- 2θ 55.18, rel. 15.9, (4 4 -4)
- 2θ 44.47, rel. 15.7, (4 0 0)
- 2θ 54.99, rel. 15.3, (4 4 0)
- 2θ 52.74, rel. 12.1, (6 2 -2)
- 2θ 72.78, rel. 11.7, (0 8 2)

Record 10
Tb4AgHg: computed powder XRD pattern (Cu Kα), based on a structure optimized by DFT (PBE).

Structural model:
```
data_Tb4AgHg
_chemical_formula_sum 'Tb8 Ag2 Hg2'
_space_group_name_H-M_alt 'P 1 21/c 1'
_space_group_IT_number 14
_space_group_name_Hall '-P 2ybc'
_cell_length_a 6.211
_cell_length_b 9.080
_cell_length_c 6.216
_cell_angle_alpha 90.00
_cell_angle_beta 106.10
_cell_angle_gamma 90.00
loop_
_atom_site_label
_atom_site_fract_x
_atom_site_fract_y
_atom_site_fract_z
Tb1 0.103 0.163 0.108
Tb2 0.392 0.661 0.897
Ag1 0.000 0.000 0.500
Hg1 0.500 0.000 0.000
```

Most intense lines, 15° ≤ 2θ ≤ 90°, in order of falling intensity:
- 2θ 34.71, rel. 100.0, (1 3 -1)
- 2θ 31.55, rel. 78.7, (2 1 0)
- 2θ 31.00, rel. 45.3, (1 2 1)
- 2θ 36.18, rel. 44.8, (2 0 -2)
- 2θ 29.93, rel. 36.3, (2 0 0)
- 2θ 48.37, rel. 26.4, (3 2 -1)
- 2θ 53.37, rel. 24.2, (3 1 1)
- 2θ 38.27, rel. 18.8, (1 3 1)
- 2θ 64.13, rel. 16.9, (3 3 -3)
- 2θ 61.25, rel. 16.8, (0 6 0)

Record 11
CaPaPtN3: computed powder XRD pattern (Cu Kα), based on a structure optimized by DFT (PBE).

Structural model:
```
data_CaPaPtN3
_chemical_formula_sum 'Ca2 Pa2 Pt2 N6'
_space_group_name_H-M_alt 'P 1 21/m 1'
_space_group_IT_number 11
_space_group_name_Hall '-P 2yb'
_cell_length_a 6.771
_cell_length_b 3.448
_cell_length_c 8.518
_cell_angle_alpha 90.00
_cell_angle_beta 91.32
_cell_angle_gamma 90.00
loop_
_atom_site_label
_atom_site_fract_x
_atom_site_fract_y
_atom_site_fract_z
Ca1 0.120 0.250 0.334
Pa1 0.371 0.750 0.656
Pt1 0.155 0.250 0.975
N1 0.164 0.250 0.616
N2 0.262 0.750 0.926
N3 0.408 0.750 0.379
```

Most intense lines, 15° ≤ 2θ ≤ 90°, in order of falling intensity:
- 2θ 16.92, rel. 100.0, (1 0 1)
- 2θ 37.22, rel. 61.9, (2 1 0)
- 2θ 30.84, rel. 50.7, (1 1 -1)
- 2θ 33.44, rel. 48.7, (2 0 -2)
- 2θ 31.52, rel. 44.7, (0 0 3)
- 2θ 49.98, rel. 25.0, (2 1 3)
- 2θ 36.23, rel. 22.0, (1 1 2)
- 2θ 49.12, rel. 22.0, (2 1 -3)
- 2θ 27.92, rel. 19.4, (0 1 1)
- 2θ 24.44, rel. 18.6, (1 0 -2)

Record 12
H6PtN2Cl: computed powder XRD pattern (Cu Kα), based on a structure optimized by DFT (PBE).

Structural model:
```
data_H6PtN2Cl
_chemical_formula_sum 'H24 Pt4 N8 Cl4'
_space_group_name_H-M_alt 'I m m a'
_space_group_IT_number 74
_space_group_name_Hall '-I 2b 2'
_cell_length_a 4.984
_cell_length_b 7.847
_cell_length_c 11.134
_cell_angle_alpha 90.00
_cell_angle_beta 90.00
_cell_angle_gamma 90.00
loop_
_atom_site_label
_atom_site_fract_x
_atom_site_fract_y
_atom_site_fract_z
H1 0.000 0.086 0.243
H2 0.164 0.049 0.369
Pt1 0.000 0.250 0.706
N1 0.000 0.011 0.319
Cl1 0.000 0.250 0.074
```

Most intense lines, 15° ≤ 2θ ≤ 90°, in order of falling intensity:
- 2θ 26.56, rel. 100.0, (0 1 3)
- 2θ 15.92, rel. 74.7, (0 0 2)
- 2θ 38.77, rel. 57.3, (2 1 1)
- 2θ 22.66, rel. 44.6, (0 2 0)
- 2θ 30.02, rel. 38.9, (1 0 3)
- 2θ 42.26, rel. 30.5, (0 3 3)
- 2θ 51.30, rel. 28.8, (2 3 1)
- 2θ 35.24, rel. 25.8, (0 3 1)
- 2θ 36.04, rel. 24.3, (2 0 0)
- 2θ 44.56, rel. 22.1, (1 0 5)